Record 1
Computed X-ray powder pattern of Ac5Ni for copper Kα, from the PBE geometry in Alexandria.
Kinematic intensities with the Lorentz-polarization factor, no thermal factor.

Principal peaks in the range 2θ = 10–80°, sorted by position:
| h k l | 2θ (°) | I_rel |
| --- | --- | --- |
| 0 1 3 | 27.21 | 27 |
| 1 2 -1 | 27.42 | 100 |
| 0 3 2 | 29.32 | 51 |
| 0 2 3 | 30.49 | 22 |
| 1 0 2 | 31.03 | 46 |
| 1 1 -3 | 32.04 | 47 |
| 1 3 0 | 32.71 | 29 |
| 2 0 -1 | 44.82 | 28 |

Lattice parameters (Å, degrees): 4.045 11.354 10.464 90.00 101.04 90.00
Element x y z (fractional)
Ac (0.000, 0.000, 0.000)
Ac (0.000, 0.500, 0.000)
Ac (0.187, 0.074, 0.374)
Ac (0.187, 0.426, 0.374)
Ac (0.357, 0.250, 0.715)
Ac (0.435, 0.750, 0.873)
Ac (0.565, 0.250, 0.127)
Ac (0.643, 0.750, 0.285)
Ac (0.813, 0.574, 0.626)
Ac (0.813, 0.926, 0.626)
Ni (0.260, 0.750, 0.520)
Ni (0.740, 0.250, 0.480)



Record 2
Computed X-ray powder pattern of Ac5Ni3 for copper Kα, from the PBE geometry in Alexandria.
Kinematic intensities with the Lorentz-polarization factor, no thermal factor.

Principal peaks in the range 2θ = 10–80°, sorted by position:
| h k l | 2θ (°) | I_rel |
| --- | --- | --- |
| 2 1 1 | 24.58 | 41 |
| 0 0 4 | 26.06 | 21 |
| 2 1 2 | 27.09 | 50 |
| 2 1 3 | 30.85 | 100 |
| 3 1 0 | 33.76 | 68 |
| 3 1 1 | 34.40 | 23 |
| 2 1 7 | 52.80 | 18 |
| 5 0 2 | 56.42 | 40 |

Lattice parameters (Å, degrees): 8.398 8.398 13.678 90.00 90.00 90.00
Element x y z (fractional)
Ac (0.056, 0.627, 0.113)
Ac (0.056, 0.873, 0.613)
Ac (0.127, 0.556, 0.387)
Ac (0.127, 0.944, 0.887)
Ac (0.250, 0.250, 0.189)
Ac (0.250, 0.250, 0.689)
Ac (0.373, 0.556, 0.887)
Ac (0.373, 0.944, 0.387)
Ac (0.444, 0.627, 0.613)
Ac (0.444, 0.873, 0.113)
Ac (0.556, 0.127, 0.887)
Ac (0.556, 0.373, 0.387)
Ac (0.627, 0.056, 0.613)
Ac (0.627, 0.444, 0.113)
Ac (0.750, 0.750, 0.311)
Ac (0.750, 0.750, 0.811)
Ac (0.873, 0.056, 0.113)
Ac (0.873, 0.444, 0.613)
Ac (0.944, 0.127, 0.387)
Ac (0.944, 0.373, 0.887)
Ni (0.109, 0.609, 0.750)
Ni (0.109, 0.891, 0.250)
Ni (0.250, 0.250, 0.470)
Ni (0.250, 0.250, 0.970)
Ni (0.391, 0.609, 0.250)
Ni (0.391, 0.891, 0.750)
Ni (0.609, 0.109, 0.250)
Ni (0.609, 0.391, 0.750)
Ni (0.750, 0.750, 0.030)
Ni (0.750, 0.750, 0.530)
Ni (0.891, 0.109, 0.750)
Ni (0.891, 0.391, 0.250)